Simulated powder diffractogram of BaAlInS4 for Cu Ka, from a PBE-relaxed structure.
Peak positions follow from Bragg's law for the DFT cell and can differ from measured ones.

Lattice parameters (Å, degrees): 6.3108 7.3411 8.3385 90.00 103.46 90.00
Space group P2_1/m (No. 11)
Unique sites:
Ba 0.2287 0.2500 0.0838 [2 per cell]
Al 0.2057 0.7500 0.3161 [2 per cell]
In 0.2857 0.2500 0.6449 [2 per cell]
S 0.0355 0.0159 0.7256 [4 per cell]
S 0.3826 0.7500 0.1071 [2 per cell]
S 0.4778 0.7500 0.5490 [2 per cell]

Largest 10 diffraction maxima, in order of rising 2θ, 10° ≤ 2θ ≤ 80°:
two_theta	d [Å]	I/Imax	h k l
16.29	5.442	203	0 1 1
18.85	4.709	1000	1 1 0
24.25	3.671	592	0 2 0
25.09	3.549	542	0 1 2
29.09	3.069	676	1 0 2
33.89	2.645	447	1 2 -2
34.52	2.598	555	2 1 -2
38.22	2.355	519	2 2 0
49.66	1.836	382	0 4 0
51.51	1.774	202	0 2 4


Simulated powder diffractogram of NdHo2Sc4 for Cu Ka, from a PBE-relaxed structure.
Peak positions follow from Bragg's law for the DFT cell and can differ from measured ones.

Lattice parameters (Å, degrees): 5.8913 7.5969 8.9576 90.23 90.18 105.18
Space group P1 (No. 1)
Unique sites:
Nd 0.0000 0.0000 0.0000 [1 per cell]
Nd 0.4278 0.7744 0.0734 [1 per cell]
Ho 0.0027 0.4938 0.5069 [1 per cell]
Ho 0.1457 0.9349 0.3665 [1 per cell]
Ho 0.5748 0.2212 0.9304 [1 per cell]
Ho 0.5753 0.7127 0.4373 [1 per cell]
Sc 0.1442 0.4291 0.8570 [1 per cell]
Sc 0.2878 0.3555 0.2212 [1 per cell]
Sc 0.2893 0.8567 0.7164 [1 per cell]
Sc 0.4317 0.2838 0.5783 [1 per cell]
Sc 0.7138 0.1488 0.2947 [1 per cell]
Sc 0.7181 0.6403 0.7859 [1 per cell]
Sc 0.8587 0.0726 0.6473 [1 per cell]
Sc 0.8600 0.5612 0.1477 [1 per cell]

Largest 10 diffraction maxima, in order of rising 2θ, 10° ≤ 2θ ≤ 80°:
two_theta	d [Å]	I/Imax	h k l
15.65	5.661	286	0 1 1
19.82	4.480	208	0 0 2
32.23	2.777	1000	-2 1 1
32.34	2.768	472	1 2 0
32.43	2.761	463	0 1 3
37.44	2.402	653	1 1 -3
37.55	2.395	310	2 0 2
53.91	1.701	229	3 -3 1
54.00	1.698	211	3 1 -1
64.25	1.450	329	4 -1 1


Simulated powder diffractogram of Ba3Bi3N5 for Cu Ka, from a PBE-relaxed structure.
Peak positions follow from Bragg's law for the DFT cell and can differ from measured ones.

Lattice parameters (Å, degrees): 6.6792 8.6030 9.9031 107.23 101.23 99.90
Space group P-1 (No. 2)
Unique sites:
Ba 0.1574 0.1673 0.2367 [2 per cell]
Ba 0.1954 0.3553 0.9486 [2 per cell]
Ba 0.2696 0.0060 0.6184 [2 per cell]
Bi 0.2154 0.4749 0.6389 [2 per cell]
Bi 0.3012 0.6697 0.3148 [2 per cell]
Bi 0.3662 0.8243 0.0020 [2 per cell]
N 0.0069 0.4712 0.2044 [2 per cell]
N 0.0938 0.2145 0.5062 [2 per cell]
N 0.2713 0.8742 0.2141 [2 per cell]
N 0.2722 0.0296 0.9235 [2 per cell]
N 0.4875 0.4514 0.8054 [2 per cell]

Largest 10 diffraction maxima, in order of rising 2θ, 10° ≤ 2θ ≤ 80°:
two_theta	d [Å]	I/Imax	h k l
26.79	3.328	636	-1 2 1
27.31	3.265	557	0 2 1
27.57	3.235	583	2 -1 0
27.77	3.212	557	1 -2 2
28.09	3.176	582	2 0 0
28.17	3.168	1000	1 2 -2
29.03	3.075	514	1 0 -3
29.35	3.044	474	0 0 3
34.40	2.607	654	1 2 1
35.11	2.556	291	2 0 -3


Simulated powder diffractogram of TiMn2Pt5 for Cu Ka, from a PBE-relaxed structure.
Peak positions follow from Bragg's law for the DFT cell and can differ from measured ones.

Lattice parameters (Å, degrees): 5.5346 11.0578 3.9835 90.00 90.00 90.00
Space group Pbam (No. 55)
Unique sites:
Ti 0.0000 0.0000 0.0000 [2 per cell]
Mn 0.2142 0.3648 0.5000 [4 per cell]
Pt 0.0000 0.5000 0.0000 [2 per cell]
Pt 0.0296 0.7594 0.0000 [4 per cell]
Pt 0.2240 0.1134 0.5000 [4 per cell]

Largest 10 diffraction maxima, in order of rising 2θ, 10° ≤ 2θ ≤ 80°:
two_theta	d [Å]	I/Imax	h k l
22.73	3.912	116	1 2 0
28.77	3.103	46	1 1 1
29.11	3.068	49	1 3 0
32.07	2.791	114	1 2 1
39.67	2.272	1000	0 4 1
40.52	2.226	54	2 1 1
45.54	1.992	183	0 0 2
46.43	1.956	295	2 4 0
67.07	1.395	196	2 4 2
67.76	1.383	80	0 8 0


Simulated powder diffractogram of InReB3 for Cu Ka, from a PBE-relaxed structure.
Peak positions follow from Bragg's law for the DFT cell and can differ from measured ones.

Lattice parameters (Å, degrees): 4.2264 4.2264 4.2264 90.00 90.00 90.00
Space group Pm-3m (No. 221)
Unique sites:
In 0.0000 0.0000 0.0000 [1 per cell]
Re 0.5000 0.5000 0.5000 [1 per cell]
B 0.0000 0.5000 0.5000 [3 per cell]

Largest 10 diffraction maxima, in order of rising 2θ, 10° ≤ 2θ ≤ 80°:
two_theta	d [Å]	I/Imax	h k l
21.02	4.226	79	1 0 0
29.90	2.989	1000	1 1 0
36.83	2.440	8	1 1 1
42.79	2.113	231	2 0 0
48.14	1.890	36	2 1 0
53.08	1.725	406	2 1 1
62.12	1.494	149	2 2 0
66.35	1.409	18	3 0 0
70.45	1.337	173	3 1 0
78.38	1.220	51	2 2 2


Simulated powder diffractogram of LaTbPmPr3 for Cu Ka, from a PBE-relaxed structure.
Peak positions follow from Bragg's law for the DFT cell and can differ from measured ones.

Lattice parameters (Å, degrees): 8.2153 5.2348 10.4285 90.00 108.49 90.00
Space group P2_1/m (No. 11)
Unique sites:
La 0.1689 0.2500 0.2913 [2 per cell]
Tb 0.4983 0.7500 0.8762 [2 per cell]
Pm 0.5000 0.2500 0.6265 [2 per cell]
Pr 0.1705 0.2500 0.7932 [2 per cell]
Pr 0.1696 0.7500 0.5435 [2 per cell]
Pr 0.1712 0.7500 0.0415 [2 per cell]

Largest 10 diffraction maxima, in order of rising 2θ, 10° ≤ 2θ ≤ 80°:
two_theta	d [Å]	I/Imax	h k l
29.68	3.010	1000	1 1 2
34.26	2.617	171	0 2 0
34.40	2.607	169	1 0 -4
34.54	2.597	167	3 0 0
49.34	1.847	122	1 2 -4
49.47	1.842	181	3 2 0
58.54	1.577	146	1 3 2
58.73	1.572	145	0 1 6
58.91	1.568	143	4 1 2
61.62	1.505	125	2 2 4


Simulated powder diffractogram of Pr5Sc for Cu Ka, from a PBE-relaxed structure.
Peak positions follow from Bragg's law for the DFT cell and can differ from measured ones.

Lattice parameters (Å, degrees): 5.1439 10.9084 7.2715 90.00 90.00 90.00
Space group Pmmn (No. 59, origin choice 2)
Unique sites:
Pr 0.2500 0.0837 0.1203 [4 per cell]
Pr 0.2500 0.0875 0.6307 [4 per cell]
Pr 0.2500 0.7500 0.6279 [2 per cell]
Sc 0.2500 0.7500 0.1211 [2 per cell]

Largest 10 diffraction maxima, in order of rising 2θ, 10° ≤ 2θ ≤ 80°:
two_theta	d [Å]	I/Imax	h k l
14.64	6.050	17	0 1 1
19.08	4.653	28	1 1 0
21.16	4.199	15	1 0 1
22.69	3.919	16	1 1 1
30.10	2.969	1000	1 3 0
34.89	2.571	505	2 0 0
50.18	1.818	357	2 3 2
59.63	1.551	422	3 3 0
62.57	1.485	121	2 6 0
73.69	1.286	56	4 0 0


Simulated powder diffractogram of CeMg3Ni8 for Cu Ka, from a PBE-relaxed structure.
Peak positions follow from Bragg's law for the DFT cell and can differ from measured ones.

Lattice parameters (Å, degrees): 4.8937 4.8937 24.0392 90.00 90.00 120.00
Space group R3m (No. 160, hexagonal axes)
Unique sites:
Ce 0.0000 0.0000 0.0000 [3 per cell]
Mg 0.0000 0.0000 0.1294 [3 per cell]
Mg 0.0000 0.0000 0.4963 [3 per cell]
Mg 0.0000 0.0000 0.6152 [3 per cell]
Ni 0.0000 0.0000 0.3111 [3 per cell]
Ni 0.0000 0.0000 0.8118 [3 per cell]
Ni 0.1670 0.3340 0.3963 [9 per cell]
Ni 0.1679 0.3359 0.8940 [9 per cell]

Largest 10 diffraction maxima, in order of rising 2θ, 10° ≤ 2θ ≤ 80°:
two_theta	d [Å]	I/Imax	h k l
11.04	8.013	129	0 0 3
21.29	4.174	114	1 0 1
22.23	3.999	202	0 0 6
36.70	2.449	211	1 1 0
43.32	2.089	1000	1 0 10
45.27	2.003	114	0 0 12
45.38	1.998	354	0 2 4
70.69	1.333	216	2 1 10
77.95	1.226	117	0 2 16
78.12	1.223	122	2 2 0